Entry 1:
For Sr3LiIrO6, a structure optimized by DFT (PBE) gives the theoretical powder XRD pattern in this record (CuKα).

Peak list (12 most intense, 10 to 90 degrees two-theta, by intensity)
| Position (°2θ) | I_rel |
| --- | --- |
| 19.0 | 100 |
| 31.9 | 94 |
| 30.1 | 53 |
| 41.9 | 35 |
| 44.4 | 35 |
| 32.3 | 28 |
| 42.9 | 27 |
| 52.3 | 26 |
| 38.5 | 20 |
| 26.4 | 20 |
| 57.9 | 19 |
| 71.9 | 19 |

Cell: 6.753 6.753 6.753 Å, 92.19 92.19 92.19°
Fractional coordinates of all 22 atoms:
Sr (0.108, 0.750, 0.392)
Sr (0.250, 0.608, 0.892)
Sr (0.392, 0.108, 0.750)
Sr (0.608, 0.892, 0.250)
Sr (0.750, 0.392, 0.108)
Sr (0.892, 0.250, 0.608)
Li (0.250, 0.250, 0.250)
Li (0.750, 0.750, 0.750)
Ir (0.000, 0.000, 0.000)
Ir (0.500, 0.500, 0.500)
O (0.047, 0.916, 0.719)
O (0.084, 0.281, 0.953)
O (0.219, 0.416, 0.547)
O (0.281, 0.953, 0.084)
O (0.416, 0.547, 0.219)
O (0.453, 0.781, 0.584)
O (0.547, 0.219, 0.416)
O (0.584, 0.453, 0.781)
O (0.719, 0.047, 0.916)
O (0.781, 0.584, 0.453)
O (0.916, 0.719, 0.047)
O (0.953, 0.084, 0.281)

Entry 2:
For LiPm2Ir, a structure optimized by DFT (PBE) gives the theoretical powder XRD pattern in this record (CuKα).

Peak list (12 most intense, 10 to 90 degrees two-theta, by intensity)
| Position (°2θ) | I_rel |
| --- | --- |
| 35.5 | 100 |
| 63.8 | 37 |
| 21.5 | 33 |
| 41.9 | 18 |
| 51.1 | 18 |
| 86.0 | 16 |
| 75.2 | 11 |
| 56.1 | 8 |
| 68.2 | 6 |
| 79.3 | 6 |
| 24.9 | 5 |
| 57.7 | 2 |

Cell: 7.148 7.148 7.148 Å, 90.00 90.00 90.00°
Fractional coordinates of all 16 atoms:
Li (0.000, 0.000, 0.000)
Li (0.000, 0.500, 0.500)
Li (0.500, 0.000, 0.500)
Li (0.500, 0.500, 0.000)
Pm (0.250, 0.250, 0.250)
Pm (0.250, 0.250, 0.750)
Pm (0.250, 0.750, 0.250)
Pm (0.250, 0.750, 0.750)
Pm (0.750, 0.250, 0.250)
Pm (0.750, 0.250, 0.750)
Pm (0.750, 0.750, 0.250)
Pm (0.750, 0.750, 0.750)
Ir (0.000, 0.000, 0.500)
Ir (0.000, 0.500, 0.000)
Ir (0.500, 0.000, 0.000)
Ir (0.500, 0.500, 0.500)

Entry 3:
For Li2SnIr, a structure optimized by DFT (PBE) gives the theoretical powder XRD pattern in this record (CuKα).

Peak list (11 most intense, 10 to 90 degrees two-theta, by intensity)
| Position (°2θ) | I_rel |
| --- | --- |
| 24.5 | 100 |
| 40.6 | 89 |
| 48.0 | 51 |
| 73.8 | 32 |
| 64.6 | 21 |
| 79.2 | 16 |
| 58.7 | 15 |
| 87.8 | 11 |
| 28.4 | 5 |
| 66.5 | 2 |
| 50.3 | 1 |

Cell: 6.288 6.288 6.288 Å, 90.00 90.00 90.00°
Fractional coordinates of all 16 atoms:
Li (0.000, 0.000, 0.000)
Li (0.000, 0.500, 0.500)
Li (0.250, 0.250, 0.250)
Li (0.250, 0.750, 0.750)
Li (0.500, 0.000, 0.500)
Li (0.500, 0.500, 0.000)
Li (0.750, 0.250, 0.750)
Li (0.750, 0.750, 0.250)
Sn (0.000, 0.000, 0.500)
Sn (0.000, 0.500, 0.000)
Sn (0.500, 0.000, 0.000)
Sn (0.500, 0.500, 0.500)
Ir (0.250, 0.250, 0.750)
Ir (0.250, 0.750, 0.250)
Ir (0.750, 0.250, 0.250)
Ir (0.750, 0.750, 0.750)

Entry 4:
For LiSn4Ir, a structure optimized by DFT (PBE) gives the theoretical powder XRD pattern in this record (CuKα).

Peak list (12 most intense, 10 to 90 degrees two-theta, by intensity)
| Position (°2θ) | I_rel |
| --- | --- |
| 30.9 | 100 |
| 38.1 | 90 |
| 42.8 | 59 |
| 41.4 | 59 |
| 15.4 | 54 |
| 36.5 | 49 |
| 24.4 | 34 |
| 67.8 | 32 |
| 64.7 | 30 |
| 64.5 | 29 |
| 62.1 | 23 |
| 45.7 | 22 |

Cell: 7.450 7.450 7.450 Å, 126.71 126.71 78.72°
Fractional coordinates of all 12 atoms:
Li (0.000, 0.000, 0.000)
Li (0.500, 0.500, 0.000)
Sn (0.023, 0.523, 0.817)
Sn (0.206, 0.023, 0.500)
Sn (0.294, 0.794, 0.817)
Sn (0.477, 0.294, 0.500)
Sn (0.523, 0.706, 0.500)
Sn (0.706, 0.206, 0.183)
Sn (0.794, 0.977, 0.500)
Sn (0.977, 0.477, 0.183)
Ir (0.250, 0.250, 0.000)
Ir (0.750, 0.750, 0.000)

Entry 5:
For LiTaIr2, a structure optimized by DFT (PBE) gives the theoretical powder XRD pattern in this record (CuKα).

Peak list (10 most intense, 10 to 90 degrees two-theta, by intensity)
| Position (°2θ) | I_rel |
| --- | --- |
| 41.4 | 100 |
| 75.5 | 35 |
| 25.0 | 24 |
| 60.0 | 17 |
| 29.0 | 15 |
| 49.0 | 12 |
| 68.0 | 6 |
| 66.0 | 5 |
| 51.3 | 4 |
| 81.0 | 4 |

Cell: 6.167 6.167 6.167 Å, 90.00 90.00 90.00°
Fractional coordinates of all 16 atoms:
Li (0.000, 0.000, 0.000)
Li (0.000, 0.500, 0.500)
Li (0.500, 0.000, 0.500)
Li (0.500, 0.500, 0.000)
Ta (0.000, 0.000, 0.500)
Ta (0.000, 0.500, 0.000)
Ta (0.500, 0.000, 0.000)
Ta (0.500, 0.500, 0.500)
Ir (0.250, 0.250, 0.250)
Ir (0.250, 0.250, 0.750)
Ir (0.250, 0.750, 0.250)
Ir (0.250, 0.750, 0.750)
Ir (0.750, 0.250, 0.250)
Ir (0.750, 0.250, 0.750)
Ir (0.750, 0.750, 0.250)
Ir (0.750, 0.750, 0.750)

Entry 6:
For LiTi2Ir, a structure optimized by DFT (PBE) gives the theoretical powder XRD pattern in this record (CuKα).

Peak list (11 most intense, 10 to 90 degrees two-theta, by intensity)
| Position (°2θ) | I_rel |
| --- | --- |
| 24.8 | 100 |
| 41.1 | 99 |
| 48.6 | 50 |
| 74.9 | 32 |
| 65.5 | 21 |
| 59.5 | 16 |
| 80.3 | 16 |
| 28.7 | 15 |
| 89.2 | 11 |
| 67.4 | 7 |
| 50.9 | 5 |

Cell: 6.212 6.212 6.212 Å, 90.00 90.00 90.00°
Fractional coordinates of all 16 atoms:
Li (0.000, 0.000, 0.000)
Li (0.000, 0.500, 0.500)
Li (0.500, 0.000, 0.500)
Li (0.500, 0.500, 0.000)
Ti (0.250, 0.250, 0.250)
Ti (0.250, 0.250, 0.750)
Ti (0.250, 0.750, 0.250)
Ti (0.250, 0.750, 0.750)
Ti (0.750, 0.250, 0.250)
Ti (0.750, 0.250, 0.750)
Ti (0.750, 0.750, 0.250)
Ti (0.750, 0.750, 0.750)
Ir (0.000, 0.000, 0.500)
Ir (0.000, 0.500, 0.000)
Ir (0.500, 0.000, 0.000)
Ir (0.500, 0.500, 0.500)